(1)
Diffraction record for Ag2TeO4. The powder diffractogram is calculated, not measured: it uses a crystal structure in OQMD, relaxed with PBE and Cu Kα, 1.54184 Å.
Peak positions follow from Bragg's law for the DFT cell and can differ from measured ones.

Most intense lines, 2θ from 15° to 90°, sorted by position:
d = 3.139 Å, 28.4 deg, rel. 37
d = 3.006 Å, 29.7 deg, rel. 59
d = 2.909 Å, 30.7 deg, rel. 42
d = 2.863 Å, 31.2 deg, rel. 100
d = 2.749 Å, 32.6 deg, rel. 80
d = 2.470 Å, 36.4 deg, rel. 32

Structure:
```
data_Ag2TeO4
_space_group_name_H-M_alt 'P 1'
_space_group_IT_number 1
_cell_length_a 6.4733
_cell_length_b 6.4733
_cell_length_c 13.6747
_cell_angle_alpha 90.74
_cell_angle_beta 90.74
_cell_angle_gamma 91.65
loop_
_space_group_symop_operation_xyz
'x,y,z'
loop_
_atom_site_label
_atom_site_type_symbol
_atom_site_fract_x
_atom_site_fract_y
_atom_site_fract_z
Ag1 Ag 0.0438 0.9562 0.7500
Ag2 Ag 0.2190 0.5181 0.4331
Ag3 Ag 0.2660 0.3825 0.6751
Ag4 Ag 0.2786 0.7214 0.2500
Ag5 Ag 0.3825 0.2660 0.1751
Ag6 Ag 0.4819 0.7810 0.0669
Ag7 Ag 0.5181 0.2190 0.9331
Ag8 Ag 0.6175 0.7340 0.8249
Ag9 Ag 0.7214 0.2786 0.7500
Ag10 Ag 0.7340 0.6175 0.3249
Ag11 Ag 0.7810 0.4819 0.5669
Ag12 Ag 0.9562 0.0438 0.2500
Te1 Te 0.0000 0.0000 0.0000
Te2 Te 0.0000 0.0000 0.5000
Te3 Te 0.0884 0.4999 0.8947
Te4 Te 0.4999 0.0884 0.3947
Te5 Te 0.5001 0.9116 0.6053
Te6 Te 0.9116 0.5001 0.1053
O1 O 0.0400 0.1953 0.8894
O2 O 0.0470 0.4740 0.2287
O3 O 0.0531 0.2766 0.5472
O4 O 0.1228 0.8037 0.9036
O5 O 0.1829 0.4853 0.0347
O6 O 0.1953 0.0400 0.3894
O7 O 0.1963 0.8772 0.5964
O8 O 0.2766 0.0531 0.0472
O9 O 0.3609 0.4715 0.8491
O10 O 0.4715 0.3609 0.3491
O11 O 0.4740 0.0470 0.7287
O12 O 0.4853 0.1829 0.5347
O13 O 0.5147 0.8171 0.4653
O14 O 0.5260 0.9530 0.2713
O15 O 0.5285 0.6391 0.6509
O16 O 0.6391 0.5285 0.1509
O17 O 0.7234 0.9469 0.9528
O18 O 0.8037 0.1228 0.4036
O19 O 0.8047 0.9600 0.6106
O20 O 0.8171 0.5147 0.9653
O21 O 0.8772 0.1963 0.0964
O22 O 0.9469 0.7234 0.4528
O23 O 0.9530 0.5260 0.7713
O24 O 0.9600 0.8047 0.1106
```

=====

(2)
Diffraction record for Zr3Ni2As4Pd2. The powder diffractogram is calculated, not measured: it uses a crystal structure in OQMD, relaxed with PBE and Cu Kα, 1.54184 Å.
Peak positions follow from Bragg's law for the DFT cell and can differ from measured ones.

Most intense lines, 2θ from 15° to 90°, sorted by position:
d = 2.522 Å, 35.6 deg, rel. 71
d = 2.486 Å, 36.1 deg, rel. 94
d = 2.400 Å, 37.5 deg, rel. 100
d = 2.379 Å, 37.8 deg, rel. 48
d = 2.099 Å, 43.1 deg, rel. 86
d = 1.949 Å, 46.6 deg, rel. 74

Structure:
```
data_Zr3Ni2As4Pd2
_space_group_name_H-M_alt 'P 1'
_space_group_IT_number 1
_cell_length_a 6.6149
_cell_length_b 3.8987
_cell_length_c 7.4758
_cell_angle_alpha 90.00
_cell_angle_beta 91.09
_cell_angle_gamma 90.00
loop_
_space_group_symop_operation_xyz
'x,y,z'
loop_
_atom_site_label
_atom_site_type_symbol
_atom_site_fract_x
_atom_site_fract_y
_atom_site_fract_z
Zr1 Zr 0.0000 0.0000 0.0000
Zr2 Zr 0.0657 0.5000 0.6171
Zr3 Zr 0.5544 0.5000 0.4837
Ni1 Ni 0.1514 0.5000 0.2514
Ni2 Ni 0.9043 0.0000 0.3636
As1 As 0.2741 0.0000 0.4009
As2 As 0.2857 0.5000 0.9513
As3 As 0.7791 0.0000 0.6685
As4 As 0.7793 0.5000 0.1968
Pd1 Pd 0.3769 0.0000 0.7481
Pd2 Pd 0.6748 0.5000 0.8740
```

=====

(3)
Diffraction record for Lu2InSnPt4. The powder diffractogram is calculated, not measured: it uses a crystal structure in OQMD, relaxed with PBE and Cu Kα, 1.54184 Å.
Peak positions follow from Bragg's law for the DFT cell and can differ from measured ones.

Most intense lines, 2θ from 15° to 90°, sorted by position:
d = 3.925 Å, 22.7 deg, rel. 20
d = 2.378 Å, 37.8 deg, rel. 100
d = 2.266 Å, 39.8 deg, rel. 87
d = 1.640 Å, 56.1 deg, rel. 33
d = 1.329 Å, 70.9 deg, rel. 32
d = 1.308 Å, 72.2 deg, rel. 15

Structure:
```
data_Lu2InSnPt4
_space_group_name_H-M_alt 'P 1'
_space_group_IT_number 1
_cell_length_a 4.5317
_cell_length_b 4.5317
_cell_length_c 8.9658
_cell_angle_alpha 90.00
_cell_angle_beta 90.00
_cell_angle_gamma 120.00
loop_
_space_group_symop_operation_xyz
'x,y,z'
loop_
_atom_site_label
_atom_site_type_symbol
_atom_site_fract_x
_atom_site_fract_y
_atom_site_fract_z
Lu1 Lu 0.3333 0.6667 0.2518
Lu2 Lu 0.6667 0.3333 0.7482
In1 In 0.0000 0.0000 0.5000
Sn1 Sn 0.0000 0.0000 0.0000
Pt1 Pt 0.3333 0.6667 0.5921
Pt2 Pt 0.3333 0.6667 0.9080
Pt3 Pt 0.6667 0.3333 0.0920
Pt4 Pt 0.6667 0.3333 0.4079
```

=====

(4)
Diffraction record for Ag6PF12. The powder diffractogram is calculated, not measured: it uses a crystal structure in OQMD, relaxed with PBE and Cu Kα, 1.54184 Å.
Peak positions follow from Bragg's law for the DFT cell and can differ from measured ones.

Most intense lines, 2θ from 15° to 90°, sorted by position:
d = 3.179 Å, 28.1 deg, rel. 34
d = 3.105 Å, 28.8 deg, rel. 100
d = 2.705 Å, 33.1 deg, rel. 43
d = 1.929 Å, 47.1 deg, rel. 28
d = 1.896 Å, 48.0 deg, rel. 26
d = 1.628 Å, 56.5 deg, rel. 27

Structure:
```
data_Ag6PF12
_space_group_name_H-M_alt 'P 1'
_space_group_IT_number 1
_cell_length_a 6.6075
_cell_length_b 6.6075
_cell_length_c 6.6075
_cell_angle_alpha 98.79
_cell_angle_beta 98.79
_cell_angle_gamma 98.79
loop_
_space_group_symop_operation_xyz
'x,y,z'
loop_
_atom_site_label
_atom_site_type_symbol
_atom_site_fract_x
_atom_site_fract_y
_atom_site_fract_z
Ag1 Ag 0.0973 0.6464 0.8152
Ag2 Ag 0.1848 0.9027 0.3537
Ag3 Ag 0.3537 0.1848 0.9027
Ag4 Ag 0.6463 0.8152 0.0973
Ag5 Ag 0.8152 0.0973 0.6463
Ag6 Ag 0.9027 0.3537 0.1848
P1 P 0.5000 0.5000 0.5000
F1 F 0.0870 0.3385 0.8980
F2 F 0.1020 0.9130 0.6615
F3 F 0.2489 0.4945 0.4605
F4 F 0.3385 0.8980 0.0870
F5 F 0.4605 0.2489 0.4945
F6 F 0.4945 0.4605 0.2489
F7 F 0.5055 0.5395 0.7511
F8 F 0.5395 0.7511 0.5055
F9 F 0.6615 0.1020 0.9130
F10 F 0.7511 0.5055 0.5395
F11 F 0.8980 0.0870 0.3385
F12 F 0.9130 0.6615 0.1020
```